No. 1
# Rb4SnS4O4
Simulated XRD peak list, copper Kα. Input: the GGA-PBE geometry in Alexandria.

Structural model:
Cell lengths 8.323, 8.540, 12.414 Å; angles 102.34, 99.03, 106.00 degrees
Atoms (fractional coordinates):
Rb 0.074 0.023 0.178
Rb 0.175 0.555 0.389
Rb 0.306 0.174 0.518
Rb 0.384 0.466 0.120
Rb 0.616 0.534 0.880
Rb 0.694 0.826 0.482
Rb 0.825 0.445 0.611
Rb 0.926 0.977 0.822
Sn 0.354 0.861 0.737
Sn 0.646 0.139 0.263
S 0.092 0.829 0.606
S 0.300 0.826 0.957
S 0.395 0.918 0.299
S 0.456 0.621 0.649
S 0.544 0.379 0.351
S 0.605 0.082 0.701
S 0.700 0.174 0.043
S 0.908 0.171 0.394
O 0.111 0.808 0.949
O 0.334 0.659 0.952
O 0.336 0.315 0.302
O 0.424 0.737 0.289
O 0.576 0.263 0.711
O 0.664 0.685 0.698
O 0.666 0.341 0.048
O 0.889 0.192 0.051

Largest 10 diffraction maxima, sorted by position, 10 to 90 degrees two-theta:
2theta  d [Å]  I/Imax
11.36  7.787  49
11.67  7.584  56
21.82  4.073  44
21.94  4.052  90
26.61  3.350  82
27.97  3.190  100
28.22  3.163  40
29.30  3.048  54
34.60  2.592  42
35.24  2.547  46


No. 2
# Sm5Y3Er
Simulated XRD peak list, copper Kα. Input: the GGA-PBE geometry in Alexandria.

Structural model:
Cell lengths 8.848, 8.848, 11.586 Å; angles 108.53, 108.53, 44.90 degrees
Atoms (fractional coordinates):
Sm 0.108 0.112 0.549
Sm 0.112 0.108 0.049
Sm 0.185 0.815 0.750
Sm 0.236 0.421 0.650
Sm 0.421 0.236 0.150
Sm 0.579 0.764 0.850
Sm 0.764 0.579 0.350
Sm 0.815 0.185 0.250
Sm 0.888 0.892 0.951
Sm 0.892 0.888 0.451
Y 0.139 0.339 0.869
Y 0.339 0.139 0.369
Y 0.500 0.500 0.000
Y 0.500 0.500 0.500
Y 0.661 0.861 0.631
Y 0.861 0.661 0.131
Er 0.264 0.736 0.250
Er 0.736 0.264 0.750

Largest 10 diffraction maxima, sorted by position, 10 to 90 degrees two-theta:
2theta  d [Å]  I/Imax
20.19  4.398  18
28.88  3.091  13
30.84  2.899  100
31.08  2.877  72
31.19  2.868  52
32.01  2.796  17
32.86  2.726  27
33.16  2.701  21
35.36  2.539  22
55.18  1.665  14


No. 3
# Ti5NbGa4
Simulated XRD peak list, copper Kα. Input: the GGA-PBE geometry in Alexandria.

Structural model:
Cell lengths 3.353, 3.353, 14.444 Å; angles 90.00, 90.00, 90.00 degrees
Atoms (fractional coordinates):
Ti 0.000 0.000 0.000
Ti 0.000 0.000 0.192
Ti 0.000 0.000 0.394
Ti 0.000 0.000 0.606
Ti 0.000 0.000 0.808
Nb 0.500 0.500 0.500
Ga 0.500 0.500 0.096
Ga 0.500 0.500 0.296
Ga 0.500 0.500 0.704
Ga 0.500 0.500 0.904

Largest 10 diffraction maxima, sorted by position, 10 to 90 degrees two-theta:
2theta  d [Å]  I/Imax
26.59  3.353  9
37.95  2.371  65
41.25  2.189  100
49.75  1.833  4
54.76  1.676  21
64.52  1.444  6
70.80  1.331  37
77.36  1.233  13
81.13  1.185  6
89.58  1.094  9


No. 4
# MgH
Simulated XRD peak list, copper Kα. Input: the GGA-PBE geometry in Alexandria.

Structural model:
Cell lengths 3.264, 9.506, 4.885 Å; angles 90.00, 90.00, 90.00 degrees
Atoms (fractional coordinates):
Mg 0.250 0.071 0.237
Mg 0.250 0.429 0.237
Mg 0.250 0.750 0.227
Mg 0.750 0.250 0.773
Mg 0.750 0.571 0.763
Mg 0.750 0.929 0.763
H 0.250 0.250 0.023
H 0.250 0.606 0.513
H 0.250 0.894 0.513
H 0.750 0.106 0.487
H 0.750 0.394 0.487
H 0.750 0.750 0.977

Largest 10 diffraction maxima, sorted by position, 10 to 90 degrees two-theta:
2theta  d [Å]  I/Imax
33.00  2.714  100
33.72  2.658  91
36.80  2.442  32
39.64  2.274  53
55.19  1.664  43
56.38  1.632  11
63.89  1.457  12
64.32  1.448  12
67.32  1.391  22
68.59  1.368  19